Simulated X-ray powder pattern of Cs2PaF7 for Cu Kα (λ = 1.5418 Å), from a DFT-relaxed cell (PBE, the Materials Project).
Neutral-atom scattering factors, no anomalous dispersion.

The 12 most intense peaks (2θ = 10–80°), sorted by position:
| h k l | Position (°2θ) | I (rel.) |
| --- | --- | --- |
| 1 1 0 | 13.9 | 35 |
| 0 2 0 | 24.0 | 49 |
| 3 1 0 | 24.7 | 98 |
| 1 1 -2 | 24.9 | 100 |
| 4 0 -2 | 26.1 | 44 |
| 2 0 2 | 35.1 | 24 |
| 4 2 -2 | 35.8 | 40 |
| 3 3 0 | 42.7 | 35 |
| 1 3 -2 | 42.9 | 22 |
| 2 2 2 | 43.0 | 22 |
| 7 1 -2 | 45.1 | 24 |
| 5 1 -4 | 45.4 | 19 |

Structure:
Unit cell a=14.6550 b=7.4024 c=8.4934 alpha=90.00 beta=122.58 gamma=90.00
Space group C2/c (No. 15)
Symmetry-distinct sites (fractional):
Cs1 0.1699 0.0126 0.1186
Pa1 0.0000 0.4681 0.2500
F1 0.0000 0.1669 0.2500
F2 0.0683 0.3778 0.0784
F3 0.1037 0.2999 0.7874
F4 0.1620 0.3835 0.4710